Calculated XRD peak list
Compound: DyErTmIn
Radiation: λ = 1.5418 Å (Cu Kα)
Structure: DFT lattice parameters and positions (PBE)
No peak broadening, texture or thermal motion is included.

Peak list (6 most intense, 5 to 70 degrees two-theta, by angle)
| d [Å] | intensity |
| --- | --- |
| 2.773 | 100 |
| 2.401 | 50 |
| 1.698 | 35 |
| 1.448 | 27 |
| 1.447 | 14 |
| 1.386 | 12 |

Cell and atoms:
```
data_DyErTmIn
_symmetry_space_group_name_H-M 'P 1'
_symmetry_Int_Tables_number 1
_cell_length_a 4.800
_cell_length_b 4.800
_cell_length_c 4.809
_cell_angle_alpha 90.00
_cell_angle_beta 90.00
_cell_angle_gamma 90.00
loop_
_symmetry_equiv_pos_as_xyz
'x,y,z'
loop_
_atom_site_label
_atom_site_type_symbol
_atom_site_fract_x
_atom_site_fract_y
_atom_site_fract_z
Dy1 Dy 0.000 0.000 0.000
Er1 Er 0.000 0.500 0.500
Tm1 Tm 0.500 0.000 0.500
In1 In 0.500 0.500 0.000
```


Calculated XRD peak list
Compound: Cu3Ag
Radiation: λ = 1.5418 Å (Cu Kα)
Structure: DFT lattice parameters and positions (PBE)
No peak broadening, texture or thermal motion is included.

Peak list (6 most intense, 5 to 70 degrees two-theta, by angle)
| d [Å] | intensity |
| --- | --- |
| 4.320 | 6 |
| 2.183 | 100 |
| 2.173 | 49 |
| 2.160 | 49 |
| 1.896 | 32 |
| 1.877 | 61 |

Cell and atoms:
```
data_Cu3Ag
_symmetry_space_group_name_H-M 'P 1'
_symmetry_Int_Tables_number 1
_cell_length_a 5.324
_cell_length_b 5.324
_cell_length_c 4.634
_cell_angle_alpha 107.48
_cell_angle_beta 107.48
_cell_angle_gamma 60.18
loop_
_symmetry_equiv_pos_as_xyz
'x,y,z'
loop_
_atom_site_label
_atom_site_type_symbol
_atom_site_fract_x
_atom_site_fract_y
_atom_site_fract_z
Cu1 Cu 0.121 0.879 0.750
Cu2 Cu 0.125 0.367 0.733
Cu3 Cu 0.367 0.125 0.233
Cu4 Cu 0.633 0.875 0.767
Cu5 Cu 0.875 0.633 0.267
Cu6 Cu 0.879 0.121 0.250
Ag1 Ag 0.365 0.635 0.250
Ag2 Ag 0.635 0.365 0.750
```